BaTmCo4O7: theoretical powder X-ray diffraction pattern (Cu Ka), based on a DFT-relaxed cell (PBE+U, the Materials Project).
Lines closer than 0.1° are merged.

Atomic structure:
Cell: 11.0436 6.3705 10.2484 Å, 90.00 90.00 90.00°
Space group Pna2_1 (No. 33)
Inequivalent atoms, fractional coordinates:
Ba (0.1649, 0.0011, 0.0000)
Tm (0.1691, 0.0105, 0.3700)
Co (0.0010, 0.5028, 0.4453)
Co (0.0811, 0.7542, 0.6850)
Co (0.0859, 0.2441, 0.6924)
Co (0.1714, 0.5077, 0.1886)
O (0.0017, 0.5016, 0.2555)
O (0.0082, 0.0007, 0.2444)
O (0.0605, 0.7665, 0.4919)
O (0.0961, 0.2721, 0.4991)
O (0.1601, 0.5567, 0.9968)
O (0.2430, 0.2338, 0.7808)
O (0.2474, 0.2368, 0.2285)

Top 8 peaks for 10° ≤ 2θ ≤ 90°, by angle:
| two_theta | I (rel.) |
| --- | --- |
| 28.0 | 61 |
| 30.8 | 100 |
| 33.1 | 100 |
| 33.6 | 74 |
| 51.3 | 46 |
| 52.9 | 27 |
| 55.9 | 38 |
| 57.9 | 38 |